The following is a computed powder X-ray diffraction pattern of NdCu10Rh2. It was derived from a DFT-relaxed cell (PBE, Alexandria), using Cu Kα (λ = 1.5418 Å).

Peak list (10 most intense, 2θ = 5–70°, by angle)
2θ (°), d/Å, I (rel.), index
29.09, 3.070, 21.1, 0 0 4
33.39, 2.683, 14.6, 0 4 2
36.17, 2.484, 44.4, 1 3 3
41.47, 2.177, 100.0, 2 2 2
41.63, 2.169, 48.5, 1 1 5
42.27, 2.138, 76.6, 0 4 4
42.51, 2.127, 47.0, 1 5 1
46.55, 1.951, 28.6, 2 0 4
47.07, 1.931, 46.1, 2 4 0
64.19, 1.451, 13.2, 0 8 2

Structure:
Cell: 5.0596 11.9395 12.2561 Å, 90.00 90.00 90.00°
Space group Fmmm (No. 69)
Symmetry-distinct sites (fractional):
Nd  0.0000  0.0000  0.0000 [4 per cell]
Cu  0.0000  0.1102  0.3824 [16 per cell]
Cu  0.0000  0.1763  0.1780 [16 per cell]
Cu  0.2500  0.0000  0.2500 [8 per cell]
Rh  0.2500  0.2500  0.0000 [8 per cell]

The following is a computed powder X-ray diffraction pattern of Nd8Cu2Rh. It was derived from a DFT-relaxed cell (PBE, Alexandria), using Cu Kα (λ = 1.5418 Å).

Peak list (10 most intense, 2θ = 5–70°, by angle)
2θ (°), d/Å, I (rel.), index
29.45, 3.033, 38.3, 1 1 -2
30.14, 2.965, 50.4, 3 1 -1
30.72, 2.910, 100.0, 1 3 1
31.33, 2.855, 28.5, 2 0 1
32.95, 2.718, 23.9, 2 2 -2
34.46, 2.603, 21.2, 0 2 2
35.02, 2.563, 40.8, 2 4 -1
36.29, 2.475, 28.7, 3 3 -1
52.43, 1.745, 25.3, 4 4 0
59.24, 1.560, 30.6, 3 3 2

Structure:
Cell: 9.1789 12.7146 6.2649 Å, 90.00 114.42 90.00°
Space group Cm (No. 8)
Symmetry-distinct sites (fractional):
Nd  0.0000  0.0000  0.0000 [2 per cell]
Nd  0.1007  0.3641  0.8566 [4 per cell]
Nd  0.1258  0.1448  0.5372 [4 per cell]
Nd  0.2358  0.5000  0.4344 [2 per cell]
Nd  0.3655  0.1484  0.1812 [4 per cell]
Cu  0.3765  0.3057  0.7372 [4 per cell]
Rh  0.3543  0.0000  0.4991 [2 per cell]

The following is a computed powder X-ray diffraction pattern of NdSmCuRh. It was derived from a DFT-relaxed cell (PBE, Alexandria), using Cu Kα (λ = 1.5418 Å).

Peak list (10 most intense, 2θ = 5–70°, by angle)
2θ (°), d/Å, I (rel.), index
26.11, 3.413, 17.6, 1 0 2
31.59, 2.832, 100.0, 1 1 1
33.76, 2.655, 26.2, 0 0 4
34.17, 2.624, 31.4, 0 1 3
39.51, 2.281, 19.0, 1 0 4
39.87, 2.261, 58.1, 1 1 3
40.50, 2.227, 29.2, 2 0 0
46.44, 1.955, 19.6, 0 2 0
54.01, 1.698, 22.0, 2 1 3
63.29, 1.469, 15.3, 2 2 0

Structure:
Cell: 4.4546 3.9103 10.6206 Å, 90.00 90.00 90.00°
Space group Amm2 (No. 38)
Symmetry-distinct sites (fractional):
Nd  0.0000  0.0000  0.0000 [2 per cell]
Sm  0.5000  0.0000  0.7234 [2 per cell]
Cu  0.5000  0.0000  0.4333 [2 per cell]
Rh  0.0000  0.0000  0.2792 [2 per cell]

The following is a computed powder X-ray diffraction pattern of NdTmCuRu. It was derived from a DFT-relaxed cell (PBE, Alexandria), using Cu Kα (λ = 1.5418 Å).

Peak list (8 most intense, 2θ = 5–70°, by angle)
2θ (°), d/Å, I (rel.), index
22.19, 4.007, 1.8, 1 1 1
25.67, 3.470, 10.2, 2 0 0
36.63, 2.454, 100.0, 2 2 0
43.24, 2.092, 0.9, 3 1 1
45.27, 2.003, 3.1, 2 2 2
52.76, 1.735, 17.4, 4 0 0
59.58, 1.552, 4.4, 4 2 0
65.94, 1.417, 35.1, 4 2 2

Structure:
Cell: 6.9396 6.9396 6.9396 Å, 90.00 90.00 90.00°
Space group F-43m (No. 216)
Symmetry-distinct sites (fractional):
Nd  0.0000  0.0000  0.0000 [4 per cell]
Tm  0.0000  0.0000  0.5000 [4 per cell]
Cu  0.2500  0.2500  0.7500 [4 per cell]
Ru  0.2500  0.2500  0.2500 [4 per cell]

The following is a computed powder X-ray diffraction pattern of Nd2Cu4S5. It was derived from a DFT-relaxed cell (PBE, Alexandria), using Cu Kα (λ = 1.5418 Å).

Peak list (10 most intense, 2θ = 5–70°, by angle)
2θ (°), d/Å, I (rel.), index
5.45, 16.217, 37.2, 0 0 3
27.50, 3.243, 65.8, 1 0 4
29.49, 3.028, 36.6, 1 0 7
30.36, 2.944, 27.1, 0 1 8
33.14, 2.703, 22.8, 0 0 18
33.46, 2.678, 100.0, 0 1 11
39.96, 2.256, 27.5, 1 0 16
46.76, 1.943, 68.7, 1 1 0
49.31, 1.848, 29.1, 1 0 22
58.51, 1.577, 25.0, 1 1 18

Structure:
Cell: 3.8852 3.8852 48.6514 Å, 90.00 90.00 120.00°
Space group R-3m (No. 166, hexagonal axes)
Symmetry-distinct sites (fractional):
Nd  0.0000  0.0000  0.1306 [6 per cell]
Cu  0.0000  0.0000  0.3121 [6 per cell]
Cu  0.0000  0.0000  0.4121 [6 per cell]
S  0.0000  0.0000  0.2390 [6 per cell]
S  0.0000  0.0000  0.3649 [6 per cell]
S  0.0000  0.0000  0.5000 [3 per cell]

The following is a computed powder X-ray diffraction pattern of Nd7CuS5. It was derived from a DFT-relaxed cell (PBE, Alexandria), using Cu Kα (λ = 1.5418 Å).

Peak list (10 most intense, 2θ = 5–70°, by angle)
2θ (°), d/Å, I (rel.), index
25.58, 3.483, 29.5, 1 3 -1
26.80, 3.327, 27.2, 0 1 2
27.37, 3.259, 46.9, 1 4 0
28.81, 3.099, 100.0, 0 7 1
30.77, 2.906, 84.1, 1 2 -2
31.86, 2.808, 64.6, 1 3 1
43.86, 2.064, 28.3, 1 10 0
44.59, 2.032, 27.1, 1 5 2
45.10, 2.010, 32.0, 2 0 -1
54.41, 1.686, 40.1, 2 7 0

Structure:
Cell: 4.0207 24.4512 7.0078 Å, 90.00 106.57 90.00°
Space group P2_1/m (No. 11)
Symmetry-distinct sites (fractional):
Nd  0.0369  0.2500  0.0740 [2 per cell]
Nd  0.1368  0.5369  0.2746 [4 per cell]
Nd  0.3125  0.1762  0.6253 [4 per cell]
Nd  0.4129  0.6066  0.8261 [4 per cell]
Cu  0.2995  0.7500  0.5980 [2 per cell]
S  0.0479  0.6428  0.0961 [4 per cell]
S  0.2256  0.0709  0.4501 [4 per cell]
S  0.5000  0.0000  0.0000 [2 per cell]

The following is a computed powder X-ray diffraction pattern of Nd3CuSiS7. It was derived from a DFT-relaxed cell (PBE, Alexandria), using Cu Kα (λ = 1.5418 Å).

Peak list (10 most intense, 2θ = 5–70°, by angle)
2θ (°), d/Å, I (rel.), index
23.23, 3.829, 42.6, 1 1 1
25.35, 3.513, 100.0, 2 0 1
26.69, 3.340, 39.2, 1 2 0
30.88, 2.896, 40.8, 0 0 2
35.18, 2.551, 41.1, 2 2 0
36.67, 2.451, 56.2, 1 3 0
39.94, 2.257, 51.5, 3 1 1
41.26, 2.188, 52.2, 1 2 2
47.50, 1.914, 35.1, 2 2 2
48.67, 1.871, 30.2, 1 3 2

Structure:
Cell: 10.2038 10.2038 5.7930 Å, 90.00 90.00 120.00°
Space group P6_3 (No. 173)
Symmetry-distinct sites (fractional):
Nd  0.1245  0.3566  0.0000 [6 per cell]
Cu  0.0000  0.0000  0.4744 [2 per cell]
Si  0.3333  0.6667  0.5865 [2 per cell]
S  0.0874  0.2518  0.4849 [6 per cell]
S  0.1125  0.5882  0.7305 [6 per cell]
S  0.3333  0.6667  0.2218 [2 per cell]

The following is a computed powder X-ray diffraction pattern of Nd2UCuS6. It was derived from a DFT-relaxed cell (PBE, Alexandria), using Cu Kα (λ = 1.5418 Å).

Peak list (10 most intense, 2θ = 5–70°, by angle)
2θ (°), d/Å, I (rel.), index
13.41, 6.602, 16.3, 1 0 0
15.44, 5.739, 22.8, 0 0 1
24.58, 3.622, 100.0, 1 1 1
27.01, 3.301, 43.8, 2 0 0
34.12, 2.628, 17.9, 1 0 2
36.76, 2.445, 25.9, 1 1 2
38.57, 2.334, 38.6, 2 2 0
41.72, 2.165, 33.0, 2 0 2
46.27, 1.962, 37.7, 3 1 1
54.34, 1.688, 16.5, 3 1 2

Structure:
Cell: 6.6025 6.6025 5.7388 Å, 90.00 90.00 90.00°
Space group P4mm (No. 99)
Symmetry-distinct sites (fractional):
Nd  0.0000  0.5000  0.0000 [2 per cell]
U  0.0000  0.0000  0.6266 [1 per cell]
Cu  0.5000  0.5000  0.5494 [1 per cell]
S  0.0000  0.0000  0.1523 [1 per cell]
S  0.2634  0.2634  0.7125 [4 per cell]
S  0.5000  0.5000  0.1652 [1 per cell]